Ac5NiPd2N: simulated X-ray diffraction stick pattern (Cu Kα), based on a crystal structure in Alexandria, relaxed with GGA-PBE.

Peak list (10 most intense, 2θ from 10° to 90°, sorted by position)
2theta	d [Å]	I_rel
25.25	3.528	19
27.58	3.234	24
28.31	3.153	17
28.61	3.120	40
29.35	3.043	100
31.77	2.817	16
34.55	2.596	27
42.41	2.131	20
48.28	1.885	15
48.46	1.878	13

Cell and atoms:
```
data_Ac5NiPd2N
_symmetry_space_group_name_H-M 'P 1'
_symmetry_Int_Tables_number 1
_symmetry_space_group_name_Hall 'P 1'
_cell_length_a 9.6218
_cell_length_b 9.6218
_cell_length_c 13.3904
_cell_angle_alpha 90.00
_cell_angle_beta 90.00
_cell_angle_gamma 154.41
loop_
_atom_site_label
_atom_site_fract_x
_atom_site_fract_y
_atom_site_fract_z
Ac1 0.0044 0.9956 0.5000
Ac2 0.1462 0.8538 0.7422
Ac3 0.1822 0.8178 0.1075
Ac4 0.2086 0.7914 0.4084
Ac5 0.4626 0.5374 0.7444
Ac6 0.5374 0.4626 0.2444
Ac7 0.7914 0.2086 0.9084
Ac8 0.8178 0.1822 0.6075
Ac9 0.8538 0.1462 0.2422
Ac10 0.9956 0.0044 0.0000
Ni1 0.2997 0.7003 0.7605
Ni2 0.7003 0.2997 0.2605
Pd1 0.3712 0.6288 0.0601
Pd2 0.3854 0.6146 0.4138
Pd3 0.6146 0.3854 0.9138
Pd4 0.6288 0.3712 0.5601
N1 0.0524 0.9476 0.1567
N2 0.9476 0.0524 0.6567
```

BrCl: simulated X-ray diffraction stick pattern (Cu Kα), based on a crystal structure in Alexandria, relaxed with GGA-PBE.

Peak list (10 most intense, 2θ from 10° to 90°, sorted by position)
2theta	d [Å]	I_rel
17.27	5.136	100
23.70	3.755	38
26.14	3.409	21
35.58	2.524	19
36.42	2.467	42
38.16	2.358	13
45.10	2.010	11
50.08	1.821	11
50.50	1.807	16
51.57	1.772	14

Cell and atoms:
```
data_BrCl
_symmetry_space_group_name_H-M 'P 1'
_symmetry_Int_Tables_number 1
_symmetry_space_group_name_Hall 'P 1'
_cell_length_a 10.2932
_cell_length_b 8.4597
_cell_length_c 8.0459
_cell_angle_alpha 77.12
_cell_angle_beta 53.24
_cell_angle_gamma 49.64
loop_
_atom_site_label
_atom_site_fract_x
_atom_site_fract_y
_atom_site_fract_z
Br1 0.1245 0.1245 0.6255
Br2 0.3745 0.3745 0.8755
Br3 0.6255 0.6255 0.1245
Br4 0.8755 0.8755 0.3745
Cl1 0.2256 0.5244 0.2256
Cl2 0.4756 0.7744 0.4756
Cl3 0.5244 0.2256 0.5244
Cl4 0.7744 0.4756 0.7744
```

Re4Tc5: simulated X-ray diffraction stick pattern (Cu Kα), based on a crystal structure in Alexandria, relaxed with GGA-PBE.

Peak list (10 most intense, 2θ from 10° to 90°, sorted by position)
2theta	d [Å]	I_rel
15.13	5.855	9
33.43	2.681	6
40.07	2.250	100
46.54	1.952	33
46.75	1.943	16
67.93	1.380	10
68.10	1.377	21
81.89	1.176	25
82.21	1.173	12
86.51	1.125	11

Cell and atoms:
```
data_Re4Tc5
_symmetry_space_group_name_H-M 'P 1'
_symmetry_Int_Tables_number 1
_symmetry_space_group_name_Hall 'P 1'
_cell_length_a 6.1686
_cell_length_b 6.1686
_cell_length_c 6.1686
_cell_angle_alpha 95.69
_cell_angle_beta 95.69
_cell_angle_gamma 143.28
loop_
_atom_site_label
_atom_site_fract_x
_atom_site_fract_y
_atom_site_fract_z
Re1 0.0000 0.3327 0.3327
Re2 0.0000 0.6673 0.6673
Re3 0.3327 0.0000 0.3327
Re4 0.6673 0.0000 0.6673
Tc1 0.0000 0.0000 0.0000
Tc2 0.3337 0.3337 0.6674
Tc3 0.3337 0.6663 0.0000
Tc4 0.6663 0.3337 0.0000
Tc5 0.6663 0.6663 0.3326
```

NpPt5: simulated X-ray diffraction stick pattern (Cu Kα), based on a crystal structure in Alexandria, relaxed with GGA-PBE.

Peak list (10 most intense, 2θ from 10° to 90°, sorted by position)
2theta	d [Å]	I_rel
37.91	2.373	100
38.26	2.352	97
43.96	2.060	34
44.24	2.048	33
44.60	2.032	32
64.14	1.452	33
64.42	1.446	21
76.78	1.241	13
76.98	1.239	26
77.49	1.232	13

Cell and atoms:
```
data_NpPt5
_symmetry_space_group_name_H-M 'P 1'
_symmetry_Int_Tables_number 1
_symmetry_space_group_name_Hall 'P 1'
_cell_length_a 9.1906
_cell_length_b 4.1196
_cell_length_c 5.7315
_cell_angle_alpha 90.00
_cell_angle_beta 108.62
_cell_angle_gamma 90.00
loop_
_atom_site_label
_atom_site_fract_x
_atom_site_fract_y
_atom_site_fract_z
Np1 0.0000 0.0000 0.0000
Np2 0.5000 0.5000 0.0000
Pt1 0.0000 0.0000 0.5000
Pt2 0.1643 0.5000 0.8232
Pt3 0.1652 0.5000 0.3265
Pt4 0.3348 0.0000 0.6735
Pt5 0.3357 0.0000 0.1768
Pt6 0.5000 0.5000 0.5000
Pt7 0.6643 0.0000 0.8232
Pt8 0.6652 0.0000 0.3265
Pt9 0.8348 0.5000 0.6735
Pt10 0.8357 0.5000 0.1768
```

Rb2Tl2Te3: simulated X-ray diffraction stick pattern (Cu Kα), based on a crystal structure in Alexandria, relaxed with GGA-PBE.

Peak list (10 most intense, 2θ from 10° to 90°, sorted by position)
2theta	d [Å]	I_rel
10.68	8.286	46
11.70	7.565	100
20.70	4.290	53
26.97	3.306	93
27.46	3.248	92
29.08	3.071	58
32.73	2.736	48
37.08	2.425	36
37.63	2.391	50
41.13	2.195	48

Cell and atoms:
```
data_Rb2Tl2Te3
_symmetry_space_group_name_H-M 'P 1'
_symmetry_Int_Tables_number 1
_symmetry_space_group_name_Hall 'P 1'
_cell_length_a 16.0803
_cell_length_b 4.7812
_cell_length_c 9.7082
_cell_angle_alpha 90.00
_cell_angle_beta 121.40
_cell_angle_gamma 90.00
loop_
_atom_site_label
_atom_site_fract_x
_atom_site_fract_y
_atom_site_fract_z
Rb1 0.0383 0.0000 0.2518
Rb2 0.4617 0.5000 0.7482
Rb3 0.5383 0.5000 0.2518
Rb4 0.9617 0.0000 0.7482
Tl1 0.1973 0.5000 0.7997
Tl2 0.3027 0.0000 0.2003
Tl3 0.6973 0.0000 0.7997
Tl4 0.8027 0.5000 0.2003
Te1 0.0000 0.5000 0.5000
Te2 0.1586 0.5000 0.0942
Te3 0.3414 0.0000 0.9058
Te4 0.5000 0.0000 0.5000
Te5 0.6586 0.0000 0.0942
Te6 0.8414 0.5000 0.9058
```

Ta4Hg3: simulated X-ray diffraction stick pattern (Cu Kα), based on a crystal structure in Alexandria, relaxed with GGA-PBE.

Peak list (10 most intense, 2θ from 10° to 90°, sorted by position)
2theta	d [Å]	I_rel
36.52	2.460	58
37.79	2.381	100
52.61	1.740	21
56.37	1.632	7
66.57	1.405	39
69.06	1.360	14
77.61	1.230	7
80.73	1.190	10
88.95	1.100	10
89.72	1.093	9

Cell and atoms:
```
data_Ta4Hg3
_symmetry_space_group_name_H-M 'P 1'
_symmetry_Int_Tables_number 1
_symmetry_space_group_name_Hall 'P 1'
_cell_length_a 3.4796
_cell_length_b 3.4796
_cell_length_c 22.8501
_cell_angle_alpha 90.00
_cell_angle_beta 90.00
_cell_angle_gamma 90.00
loop_
_atom_site_label
_atom_site_fract_x
_atom_site_fract_y
_atom_site_fract_z
Ta1 0.0000 0.0000 0.0758
Ta2 0.0000 0.0000 0.3668
Ta3 0.0000 0.0000 0.6332
Ta4 0.0000 0.0000 0.9242
Ta5 0.5000 0.5000 0.1332
Ta6 0.5000 0.5000 0.4242
Ta7 0.5000 0.5000 0.5758
Ta8 0.5000 0.5000 0.8668
Hg1 0.0000 0.0000 0.2114
Hg2 0.0000 0.0000 0.5000
Hg3 0.0000 0.0000 0.7886
Hg4 0.5000 0.5000 0.0000
Hg5 0.5000 0.5000 0.2886
Hg6 0.5000 0.5000 0.7114
```

Pm2SbAu6: simulated X-ray diffraction stick pattern (Cu Kα), based on a crystal structure in Alexandria, relaxed with GGA-PBE.

Peak list (10 most intense, 2θ from 10° to 90°, sorted by position)
2theta	d [Å]	I_rel
31.13	2.873	36
32.65	2.743	20
32.96	2.718	20
34.89	2.572	33
35.66	2.518	100
35.96	2.498	97
37.45	2.402	24
45.12	2.010	34
50.05	1.822	23
57.47	1.603	27

Cell and atoms:
```
data_Pm2SbAu6
_symmetry_space_group_name_H-M 'P 1'
_symmetry_Int_Tables_number 1
_symmetry_space_group_name_Hall 'P 1'
_cell_length_a 6.4304
_cell_length_b 6.4304
_cell_length_c 5.4917
_cell_angle_alpha 92.40
_cell_angle_beta 92.40
_cell_angle_gamma 63.33
loop_
_atom_site_label
_atom_site_fract_x
_atom_site_fract_y
_atom_site_fract_z
Pm1 0.1731 0.1731 0.3217
Pm2 0.8269 0.8269 0.6783
Sb1 0.5000 0.5000 0.5000
Au1 0.1164 0.6985 0.1799
Au2 0.3015 0.8836 0.8201
Au3 0.3182 0.3182 0.8347
Au4 0.6818 0.6818 0.1653
Au5 0.6985 0.1164 0.1799
Au6 0.8836 0.3015 0.8201
```

Mn2Cu3Pd7: simulated X-ray diffraction stick pattern (Cu Kα), based on a crystal structure in Alexandria, relaxed with GGA-PBE.

Peak list (10 most intense, 2θ from 10° to 90°, sorted by position)
2theta	d [Å]	I_rel
37.15	2.420	15
41.32	2.185	100
44.60	2.032	22
48.04	1.894	17
51.44	1.776	10
67.63	1.385	12
70.41	1.337	8
79.92	1.200	14
84.94	1.142	12
89.78	1.092	8

Cell and atoms:
```
data_Mn2Cu3Pd7
_symmetry_space_group_name_H-M 'P 1'
_symmetry_Int_Tables_number 1
_symmetry_space_group_name_Hall 'P 1'
_cell_length_a 12.5995
_cell_length_b 12.5995
_cell_length_c 3.7877
_cell_angle_alpha 90.00
_cell_angle_beta 90.00
_cell_angle_gamma 161.44
loop_
_atom_site_label
_atom_site_fract_x
_atom_site_fract_y
_atom_site_fract_z
Mn1 0.1533 0.8467 0.0000
Mn2 0.8467 0.1533 0.0000
Cu1 0.3502 0.6498 0.5000
Cu2 0.5000 0.5000 0.5000
Cu3 0.6498 0.3502 0.5000
Pd1 0.0000 0.0000 0.0000
Pd2 0.0793 0.9207 0.5000
Pd3 0.2830 0.7170 0.0000
Pd4 0.4214 0.5786 0.0000
Pd5 0.5786 0.4214 0.0000
Pd6 0.7170 0.2830 0.0000
Pd7 0.9207 0.0793 0.5000
```